# Ba2NiTeO6
Simulated powder X-ray diffraction pattern, Cu Kα (λ = 1.5418 Å). Input: DFT lattice parameters and positions (GGA+U).
Neutral-atom scattering factors, no anomalous dispersion.

Top 10 peaks for 2θ = 10–90°, by angle:
| 2θ (°) | d/Å | intensity |
| --- | --- | --- |
| 23.25 | 3.826 | 15.1 |
| 27.77 | 3.213 | 43.1 |
| 30.28 | 2.952 | 28.5 |
| 30.40 | 2.940 | 100.0 |
| 35.64 | 2.519 | 18.9 |
| 38.62 | 2.331 | 14.5 |
| 41.64 | 2.169 | 30.3 |
| 53.99 | 1.698 | 31.8 |
| 63.25 | 1.470 | 18.7 |
| 87.83 | 1.111 | 13.4 |

Atomic structure:
a = 10.240 Å, b = 10.240 Å, c = 10.240 Å
α = 33.37°, β = 33.37°, γ = 33.37°
Fractional coordinates of all 20 atoms:
1 Ba 0.126 0.126 0.126
2 Ba 0.284 0.284 0.284
3 Ba 0.716 0.716 0.716
4 Ba 0.874 0.874 0.874
5 Ni 0.406 0.406 0.406
6 Ni 0.594 0.594 0.594
7 Te 0.000 0.000 0.000
8 Te 0.500 0.500 0.500
9 O 0.154 0.611 0.611
10 O 0.195 0.195 0.727
11 O 0.195 0.727 0.195
12 O 0.273 0.805 0.805
13 O 0.389 0.389 0.846
14 O 0.389 0.846 0.389
15 O 0.611 0.154 0.611
16 O 0.611 0.611 0.154
17 O 0.727 0.195 0.195
18 O 0.805 0.273 0.805
19 O 0.805 0.805 0.273
20 O 0.846 0.389 0.389